Calculated XRD peak list of Li2MnFeB2O6 for copper Kα, from the GGA+U geometry in the Materials Project.

Principal peaks in the range 10° ≤ 2θ ≤ 80°, sorted by position:
(hkl), two_theta, I/Imax
0 2 0, 19.6, 66
0 2 1, 21.4, 40
1 1 1, 21.6, 62
1 1 -2, 25.7, 47
1 1 2, 26.4, 30
1 3 0, 34.2, 87
0 0 4, 34.4, 100
2 2 -1, 40.4, 50
1 1 5, 48.5, 40
3 3 0, 61.3, 24

Structural model:
a b c (Å): 5.2441 9.0703 10.4300
angles (deg): 90.00 91.79 90.00
Space group Cc (No. 9)
Unique sites:
Li  0.0000  0.0070  0.0000
Li  0.3241  0.0125  0.2494
Mn  0.3212  0.3385  0.2156
Fe  0.4965  0.1631  0.9658
B  0.3272  0.3286  0.7079
B  0.4965  0.1682  0.4584
O  0.0660  0.3394  0.6762
O  0.2522  0.3397  0.9977
O  0.3502  0.0404  0.4456
O  0.3824  0.3040  0.4289
O  0.4301  0.1946  0.7496
O  0.4803  0.4516  0.6939

***

Calculated XRD peak list of Li8Mn7FeB8O24 for copper Kα, from the GGA+U geometry in the Materials Project.

Principal peaks in the range 10° ≤ 2θ ≤ 80°, sorted by position:
(hkl), two_theta, I/Imax
1 -1 0, 19.5, 35
1 -1 1, 21.3, 20
0 2 -1, 21.5, 32
0 2 2, 25.5, 24
0 2 -2, 26.3, 15
0 0 4, 34.1, 100
2 2 1, 40.3, 25
-2 2 1, 40.6, 12
1 1 -5, 48.2, 14
3 3 0, 61.0, 11

Structural model:
a b c (Å): 5.2573 9.1098 10.5214
angles (deg): 88.41 88.93 89.84
Space group P1 (No. 1)
Unique sites:
Li  0.0000  0.0000  0.0000
Li  0.0153  0.9943  0.4998
Li  0.3255  0.3428  0.2501
Li  0.3672  0.3289  0.7502
Li  0.4985  0.5005  0.0002
Li  0.5148  0.4945  0.5002
Li  0.8254  0.8431  0.2500
Li  0.8655  0.8293  0.7498
Mn  0.0101  0.3325  0.9658
Mn  0.0106  0.6667  0.4657
Mn  0.3396  0.0060  0.2129
Mn  0.3578  0.6683  0.7165
Mn  0.5098  0.1664  0.4654
Mn  0.8375  0.5068  0.2160
Mn  0.8568  0.1670  0.7154
Fe  0.5141  0.8305  0.9645
B  0.0071  0.3357  0.4580
B  0.0127  0.6679  0.9595
B  0.3368  0.6699  0.2067
B  0.3522  0.9981  0.7089
B  0.5071  0.8357  0.4579
B  0.5156  0.1644  0.9571
B  0.8363  0.1700  0.2079
B  0.8526  0.4980  0.7085
O  0.0013  0.3792  0.7492
O  0.0843  0.6851  0.2483
O  0.0923  0.9832  0.6941
O  0.2683  0.3479  0.4434
O  0.2737  0.6565  0.9304
O  0.3531  0.9572  0.4272
O  0.3751  0.0416  0.9975
O  0.3964  0.7037  0.5000
O  0.4023  0.3014  0.9440
O  0.4446  0.5321  0.1931
O  0.4675  0.1335  0.6782
O  0.4825  0.7949  0.1760
O  0.5010  0.8795  0.7501
O  0.5836  0.1847  0.2488
O  0.5923  0.4838  0.6942
O  0.7685  0.8477  0.4433
O  0.7758  0.1498  0.9274
O  0.8529  0.4574  0.4276
O  0.8737  0.5447  0.9992
O  0.8960  0.2037  0.5000
O  0.8958  0.8039  0.9451
O  0.9453  0.0327  0.1932
O  0.9686  0.6335  0.6787
O  0.9818  0.2956  0.1779